This entry pairs a crystal structure of PrCd3Au4 with its simulated X-ray powder pattern. Radiation: Cu Kα (weighted mean of Kα1 and Kα2). Structure: a cell relaxed with PBE.

Peak list (12 most intense, 15° ≤ 2θ ≤ 90°, by angle)
two_theta, d/Å, Rel. int., index
25.4, 3.504, 12, 1 0 4
35.2, 2.551, 100, 0 1 8
37.3, 2.411, 100, 1 1 0
44.3, 2.044, 6, 0 1 11
52.2, 1.752, 32, 2 0 8
61.7, 1.503, 12, 1 0 16
65.9, 1.417, 32, 1 2 8
66.8, 1.400, 5, 1 1 15
67.3, 1.392, 18, 3 0 0
74.4, 1.276, 7, 0 2 16
79.5, 1.205, 11, 2 2 0
86.3, 1.128, 10, 2 1 16

Structure:
```
data_PrCd3Au4
_symmetry_space_group_name_H-M 'R -3 m'
_symmetry_Int_Tables_number 166
_symmetry_space_group_name_Hall '-R 3 2"'
_cell_length_a 4.8212
_cell_length_b 4.8212
_cell_length_c 25.7855
_cell_angle_alpha 90.00
_cell_angle_beta 90.00
_cell_angle_gamma 120.00
loop_
_atom_site_label
_atom_site_type_symbol
_atom_site_fract_x
_atom_site_fract_y
_atom_site_fract_z
Pr1 Pr 0.0000 0.0000 0.0000
Cd1 Cd 0.0000 0.0000 0.2463
Cd2 Cd 0.0000 0.0000 0.5000
Au1 Au 0.0000 0.0000 0.1260
Au2 Au 0.0000 0.0000 0.3889
```

=====

This entry pairs a crystal structure of Cd8Pd3Au with its simulated X-ray powder pattern. Radiation: Cu Kα (weighted mean of Kα1 and Kα2). Structure: a cell relaxed with PBE.

Peak list (12 most intense, 15° ≤ 2θ ≤ 90°, by angle)
two_theta, d/Å, Rel. int., index
23.2, 3.830, 19, 0 2 2
24.4, 3.646, 33, 2 0 2
28.1, 3.177, 9, 2 2 0
38.6, 2.331, 26, 0 4 0
39.0, 2.308, 100, 2 2 4
41.6, 2.171, 21, 4 0 0
44.9, 2.017, 10, 0 2 6
46.2, 1.964, 11, 2 4 2
58.1, 1.589, 15, 4 4 0
70.2, 1.341, 17, 2 6 4
74.2, 1.278, 16, 6 2 4
83.9, 1.154, 10, 4 4 8

Structure:
```
data_Cd8Pd3Au
_symmetry_space_group_name_H-M 'F m m m'
_symmetry_Int_Tables_number 69
_symmetry_space_group_name_Hall '-F 2 2'
_cell_length_a 8.682
_cell_length_b 9.326
_cell_length_c 13.427
_cell_angle_alpha 90.00
_cell_angle_beta 90.00
_cell_angle_gamma 90.00
loop_
_atom_site_label
_atom_site_type_symbol
_atom_site_fract_x
_atom_site_fract_y
_atom_site_fract_z
Cd1 Cd 0.000 0.246 0.120
Cd2 Cd 0.245 0.000 0.135
Pd1 Pd 0.000 0.000 0.000
Pd2 Pd 0.250 0.250 0.250
Au1 Au 0.000 0.000 0.500
```

=====

This entry pairs a crystal structure of LaNp2Te4 with its simulated X-ray powder pattern. Radiation: Cu Kα (weighted mean of Kα1 and Kα2). Structure: a cell relaxed with PBE.

Peak list (12 most intense, 15° ≤ 2θ ≤ 90°, by angle)
two_theta, d/Å, Rel. int., index
21.5, 4.125, 72, 0 2 3
26.7, 3.342, 53, 0 2 4
27.6, 3.236, 45, 1 3 0
28.2, 3.164, 86, 1 3 1
30.0, 2.974, 100, 1 3 2
32.2, 2.784, 23, 0 2 5
36.7, 2.449, 76, 1 1 5
39.3, 2.292, 34, 1 5 2
41.2, 2.190, 43, 2 0 0
41.6, 2.169, 88, 0 6 3
60.1, 1.540, 29, 2 6 3
71.1, 1.326, 23, 1 7 8

Structure:
```
data_LaNp2Te4
_symmetry_space_group_name_H-M 'C m c m'
_symmetry_Int_Tables_number 63
_symmetry_space_group_name_Hall '-C 2c 2'
_cell_length_a 4.379
_cell_length_b 14.409
_cell_length_c 15.091
_cell_angle_alpha 90.00
_cell_angle_beta 90.00
_cell_angle_gamma 90.00
loop_
_atom_site_label
_atom_site_type_symbol
_atom_site_fract_x
_atom_site_fract_y
_atom_site_fract_z
La1 La 0.000 0.115 0.250
Np1 Np 0.000 0.365 0.063
Te1 Te 0.000 0.000 0.000
Te2 Te 0.000 0.274 0.625
Te3 Te 0.000 0.452 0.250
```

=====

What did the second record say?
This entry pairs a crystal structure of Cd8Pd3Au with its simulated X-ray powder pattern. Radiation: Cu Kα (weighted mean of Kα1 and Kα2). Structure: a cell relaxed with PBE.

Peak list (12 most intense, 15° ≤ 2θ ≤ 90°, by angle)
two_theta, d/Å, Rel. int., index
23.2, 3.830, 19, 0 2 2
24.4, 3.646, 33, 2 0 2
28.1, 3.177, 9, 2 2 0
38.6, 2.331, 26, 0 4 0
39.0, 2.308, 100, 2 2 4
41.6, 2.171, 21, 4 0 0
44.9, 2.017, 10, 0 2 6
46.2, 1.964, 11, 2 4 2
58.1, 1.589, 15, 4 4 0
70.2, 1.341, 17, 2 6 4
74.2, 1.278, 16, 6 2 4
83.9, 1.154, 10, 4 4 8

Structure:
```
data_Cd8Pd3Au
_symmetry_space_group_name_H-M 'F m m m'
_symmetry_Int_Tables_number 69
_symmetry_space_group_name_Hall '-F 2 2'
_cell_length_a 8.682
_cell_length_b 9.326
_cell_length_c 13.427
_cell_angle_alpha 90.00
_cell_angle_beta 90.00
_cell_angle_gamma 90.00
loop_
_atom_site_label
_atom_site_type_symbol
_atom_site_fract_x
_atom_site_fract_y
_atom_site_fract_z
Cd1 Cd 0.000 0.246 0.120
Cd2 Cd 0.245 0.000 0.135
Pd1 Pd 0.000 0.000 0.000
Pd2 Pd 0.250 0.250 0.250
Au1 Au 0.000 0.000 0.500
```